This entry pairs a crystal structure of Li6Mn3CoO10 with its computed PXRD pattern. Radiation: CuKα. Structure: a DFT-relaxed cell (PBE+U, Alexandria).
Kinematic intensities with the Lorentz-polarization factor, no thermal factor.

```
Li6Mn3CoO10
1.0
4.889 -1.449 0.000
4.889 1.449 0.000
-2.629 0.000 12.436
Li Mn Co O
6 3 1 10
direct
0.000 0.000 0.000 Li
0.198 0.198 0.406 Li
0.406 0.406 0.794 Li
0.502 0.502 0.496 Li
0.593 0.593 0.198 Li
0.799 0.799 0.584 Li
0.105 0.105 0.688 Mn
0.297 0.297 0.099 Mn
0.896 0.896 0.305 Mn
0.701 0.701 0.898 Co
0.064 0.064 0.843 O
0.153 0.153 0.557 O
0.261 0.261 0.247 O
0.340 0.340 0.951 O
0.473 0.473 0.652 O
0.527 0.527 0.339 O
0.659 0.659 0.049 O
0.740 0.740 0.744 O
0.847 0.847 0.433 O
0.932 0.932 0.151 O
```

The 12 most intense peaks (2θ from 15° to 90°), low angle first:
2θ/deg, intensity
18.44, 100.0
18.55, 7.9
36.11, 12.3
36.26, 25.4
43.84, 88.6
48.08, 7.3
57.74, 9.4
63.12, 8.4
63.58, 14.9
63.90, 15.3
64.31, 8.1
81.11, 6.9